For Y2Lu4S3N3, DFT lattice parameters and positions (PBE) gives the theoretical PXRD pattern in this record (a wavelength of 1.5418 Å).

```
data_Y2Lu4S3N3
_chemical_formula_sum 'Y8 Lu16 S12 N12'
_space_group_name_H-M_alt 'C 1 2/c 1'
_space_group_IT_number 15
_cell_length_a 10.6081
_cell_length_b 6.1257
_cell_length_c 12.9312
_cell_angle_alpha 90.00
_cell_angle_beta 105.86
_cell_angle_gamma 90.00
loop_
_space_group_symop_operation_xyz
'x,y,z'
'-x,-y,-z'
'-x,y,-z+1/2'
'x,-y,z+1/2'
'x+1/2,y+1/2,z'
'-x+1/2,-y+1/2,-z'
'-x+1/2,y+1/2,-z+1/2'
'x+1/2,-y+1/2,z+1/2'
loop_
_atom_site_label
_atom_site_type_symbol
_atom_site_fract_x
_atom_site_fract_y
_atom_site_fract_z
Y1 Y 0.0476 0.0828 0.3953
Lu1 Lu 0.1171 0.4153 0.6013
Lu2 Lu 0.2168 0.4173 0.8987
S1 S 0.0000 0.4261 0.2500
S2 S 0.1716 0.0878 0.7507
N1 N 0.0867 0.2599 0.0000
N2 N 0.2500 0.2500 0.5000
```

Largest 10 diffraction maxima, by angle, 2θ from 10° to 80°:
2θ (°)	Rel. int.
14.24	90
28.71	170
29.16	283
30.05	352
36.47	1000
41.38	141
51.70	300
60.21	298
64.92	183
69.92	125


For Lu2Sb3W4N3, DFT lattice parameters and positions (PBE) gives the theoretical PXRD pattern in this record (a wavelength of 1.5418 Å).

```
data_Lu2Sb3W4N3
_chemical_formula_sum 'Lu8 Sb12 W16 N12'
_space_group_name_H-M_alt 'C 1 2/c 1'
_space_group_IT_number 15
_cell_length_a 10.1390
_cell_length_b 5.9669
_cell_length_c 13.1993
_cell_angle_alpha 90.00
_cell_angle_beta 103.97
_cell_angle_gamma 90.00
loop_
_space_group_symop_operation_xyz
'x,y,z'
'-x,-y,-z'
'-x,y,-z+1/2'
'x,-y,z+1/2'
'x+1/2,y+1/2,z'
'-x+1/2,-y+1/2,-z'
'-x+1/2,y+1/2,-z+1/2'
'x+1/2,-y+1/2,z+1/2'
loop_
_atom_site_label
_atom_site_type_symbol
_atom_site_fract_x
_atom_site_fract_y
_atom_site_fract_z
Lu1 Lu 0.0560 0.0846 0.4027
Sb1 Sb 0.0000 0.4441 0.2500
Sb2 Sb 0.1828 0.1097 0.7449
W1 W 0.1048 0.4344 0.5759
W2 W 0.2149 0.4144 0.9260
N1 N 0.0808 0.2426 0.0003
N2 N 0.2500 0.2500 0.5000
```

Largest 10 diffraction maxima, by angle, 2θ from 10° to 80°:
2θ (°)	Rel. int.
29.95	269
30.40	464
36.75	946
36.89	1000
37.36	902
42.34	394
52.69	243
53.44	537
54.29	208
66.39	183


For Lu4SiN3, DFT lattice parameters and positions (PBE) gives the theoretical PXRD pattern in this record (a wavelength of 1.5418 Å).

```
data_Lu4SiN3
_chemical_formula_sum 'Lu8 Si2 N6'
_space_group_name_H-M_alt 'P 63/m m c'
_space_group_IT_number 194
_space_group_name_Hall '-P 6c 2c'
_cell_length_a 3.3654
_cell_length_b 3.3654
_cell_length_c 24.7885
_cell_angle_alpha 90.00
_cell_angle_beta 90.00
_cell_angle_gamma 120.00
loop_
_atom_site_label
_atom_site_type_symbol
_atom_site_fract_x
_atom_site_fract_y
_atom_site_fract_z
Lu1 Lu 0.0000 0.0000 0.1618
Lu2 Lu 0.3333 0.6667 0.0539
Si1 Si 0.3333 0.6667 0.2500
N1 N 0.0000 0.0000 0.0000
N2 N 0.3333 0.6667 0.6121
```

Largest 10 diffraction maxima, by angle, 2θ from 10° to 80°:
2θ (°)	Rel. int.
28.81	197
31.53	551
32.58	319
33.99	355
35.74	627
36.24	316
37.77	1000
40.07	178
54.50	809
67.25	325


For Lu4Si3W2N3, DFT lattice parameters and positions (PBE) gives the theoretical PXRD pattern in this record (a wavelength of 1.5418 Å).

```
data_Lu4Si3W2N3
_chemical_formula_sum 'Lu16 Si12 W8 N12'
_space_group_name_H-M_alt 'C 1 2/c 1'
_space_group_IT_number 15
_cell_length_a 9.8062
_cell_length_b 5.6793
_cell_length_c 13.4471
_cell_angle_alpha 90.00
_cell_angle_beta 103.99
_cell_angle_gamma 90.00
loop_
_space_group_symop_operation_xyz
'x,y,z'
'-x,-y,-z'
'-x,y,-z+1/2'
'x,-y,z+1/2'
'x+1/2,y+1/2,z'
'-x+1/2,-y+1/2,-z'
'-x+1/2,y+1/2,-z+1/2'
'x+1/2,-y+1/2,z+1/2'
loop_
_atom_site_label
_atom_site_type_symbol
_atom_site_fract_x
_atom_site_fract_y
_atom_site_fract_z
Lu1 Lu 0.1183 0.0838 0.1023
Lu2 Lu 0.2153 0.0821 0.3979
Si1 Si 0.0000 0.1593 0.7500
Si2 Si 0.1287 0.4580 0.2495
W1 W 0.0534 0.4186 0.9154
N1 N 0.0838 0.2490 0.5000
N2 N 0.2500 0.2500 0.0000
```

Largest 10 diffraction maxima, by angle, 2θ from 10° to 80°:
2θ (°)	Rel. int.
13.57	359
27.34	275
31.55	380
32.31	559
37.84	492
37.90	1000
41.52	193
42.23	192
56.15	232
59.33	233


For Lu4TlZnN2, DFT lattice parameters and positions (PBE) gives the theoretical PXRD pattern in this record (a wavelength of 1.5418 Å).

```
data_Lu4TlZnN2
_chemical_formula_sum 'Lu4 Tl1 Zn1 N2'
_space_group_name_H-M_alt 'P -6 m 2'
_space_group_IT_number 187
_space_group_name_Hall 'P -6 2'
_cell_length_a 3.4252
_cell_length_b 3.4252
_cell_length_c 14.8738
_cell_angle_alpha 90.00
_cell_angle_beta 90.00
_cell_angle_gamma 120.00
loop_
_atom_site_label
_atom_site_type_symbol
_atom_site_fract_x
_atom_site_fract_y
_atom_site_fract_z
Lu1 Lu 0.0000 0.0000 0.1511
Lu2 Lu 0.3333 0.6667 0.3272
Tl1 Tl 0.0000 0.0000 0.5000
Zn1 Zn 0.3333 0.6667 0.0000
N1 N 0.6667 0.3333 0.2450
```

Largest 10 diffraction maxima, by angle, 2θ from 10° to 80°:
2θ (°)	Rel. int.
30.11	286
32.50	62
35.26	1000
36.24	174
47.82	144
53.51	221
62.61	66
64.55	130
65.71	165
66.34	183


For Lu2ZnN, DFT lattice parameters and positions (PBE) gives the theoretical PXRD pattern in this record (a wavelength of 1.5418 Å).

```
data_Lu2ZnN
_chemical_formula_sum 'Lu24 Zn12 N12'
_space_group_name_H-M_alt 'C 1 2/c 1'
_space_group_IT_number 15
_cell_length_a 10.1021
_cell_length_b 5.8171
_cell_length_c 15.1104
_cell_angle_alpha 90.00
_cell_angle_beta 103.01
_cell_angle_gamma 90.00
loop_
_space_group_symop_operation_xyz
'x,y,z'
'-x,-y,-z'
'-x,y,-z+1/2'
'x,-y,z+1/2'
'x+1/2,y+1/2,z'
'-x+1/2,-y+1/2,-z'
'-x+1/2,y+1/2,-z+1/2'
'x+1/2,-y+1/2,z+1/2'
loop_
_atom_site_label
_atom_site_type_symbol
_atom_site_fract_x
_atom_site_fract_y
_atom_site_fract_z
Lu1 Lu 0.0467 0.0807 0.3979
Lu2 Lu 0.1121 0.4129 0.5852
Lu3 Lu 0.2233 0.4184 0.9147
Zn1 Zn 0.0000 0.4599 0.7500
Zn2 Zn 0.2220 0.1380 0.7498
N1 N 0.0814 0.2436 0.0000
N2 N 0.2500 0.2500 0.5000
```

Largest 10 diffraction maxima, by angle, 2θ from 10° to 80°:
2θ (°)	Rel. int.
12.02	154
30.70	201
31.31	200
35.85	1000
36.62	203
48.55	86
54.62	114
60.57	77
65.48	84
67.56	114


For NaLu, DFT lattice parameters and positions (PBE) gives the theoretical PXRD pattern in this record (a wavelength of 1.5418 Å).

```
data_NaLu
_chemical_formula_sum 'Na1 Lu1'
_space_group_name_H-M_alt 'P -6 m 2'
_space_group_IT_number 187
_space_group_name_Hall 'P -6 2'
_cell_length_a 3.3817
_cell_length_b 3.3817
_cell_length_c 6.1357
_cell_angle_alpha 90.00
_cell_angle_beta 90.00
_cell_angle_gamma 120.00
loop_
_atom_site_label
_atom_site_type_symbol
_atom_site_fract_x
_atom_site_fract_y
_atom_site_fract_z
Na1 Na 0.0000 0.0000 0.0000
Lu1 Lu 0.3333 0.6667 0.5000
```

Largest 10 diffraction maxima, by angle, 2θ from 10° to 80°:
2θ (°)	Rel. int.
14.44	810
29.11	279
30.52	497
33.92	1000
42.68	404
54.25	147
54.74	256
56.45	153
62.74	189
65.54	149


For NaLuO3, DFT lattice parameters and positions (PBE) gives the theoretical PXRD pattern in this record (a wavelength of 1.5418 Å).

```
data_NaLuO3
_chemical_formula_sum 'Na4 Lu4 O12'
_space_group_name_H-M_alt 'P n m a'
_space_group_IT_number 62
_cell_length_a 5.9714
_cell_length_b 7.6750
_cell_length_c 5.8577
_cell_angle_alpha 90.00
_cell_angle_beta 90.00
_cell_angle_gamma 90.00
loop_
_space_group_symop_operation_xyz
'x,y,z'
'-x,-y,-z'
'-x+1/2,-y,z+1/2'
'x+1/2,y,-z+1/2'
'x+1/2,-y+1/2,-z+1/2'
'-x+1/2,y+1/2,z+1/2'
'-x,y+1/2,-z'
'x,-y+1/2,z'
loop_
_atom_site_label
_atom_site_type_symbol
_atom_site_fract_x
_atom_site_fract_y
_atom_site_fract_z
Na1 Na 0.0470 0.2500 0.0141
Lu1 Lu 0.0000 0.0000 0.5000
O1 O 0.0758 0.7500 0.3523
O2 O 0.2178 0.5806 0.7857
```

Largest 10 diffraction maxima, by angle, 2θ from 10° to 80°:
2θ (°)	Rel. int.
21.25	955
23.18	348
29.93	244
30.52	205
31.65	1000
43.27	286
49.66	237
52.47	177
54.22	226
54.96	264


For NaLuPt6O8, DFT lattice parameters and positions (PBE) gives the theoretical PXRD pattern in this record (a wavelength of 1.5418 Å).

```
data_NaLuPt6O8
_chemical_formula_sum 'Na1 Lu1 Pt6 O8'
_space_group_name_H-M_alt 'P m -3'
_space_group_IT_number 200
_space_group_name_Hall '-P 2 2 3'
_cell_length_a 5.8027
_cell_length_b 5.8027
_cell_length_c 5.8027
_cell_angle_alpha 90.00
_cell_angle_beta 90.00
_cell_angle_gamma 90.00
loop_
_atom_site_label
_atom_site_type_symbol
_atom_site_fract_x
_atom_site_fract_y
_atom_site_fract_z
Na1 Na 0.0000 0.0000 0.0000
Lu1 Lu 0.5000 0.5000 0.5000
Pt1 Pt 0.0000 0.5000 0.2501
O1 O 0.2637 0.2637 0.2637
```

Largest 10 diffraction maxima, by angle, 2θ from 10° to 80°:
2θ (°)	Rel. int.
15.27	77
21.66	89
30.82	110
34.56	1000
37.98	430
54.80	169
57.24	245
59.62	237
64.20	146
75.01	219


For NaLuSO, DFT lattice parameters and positions (PBE) gives the theoretical PXRD pattern in this record (a wavelength of 1.5418 Å).

```
data_NaLuSO
_chemical_formula_sum 'Na4 Lu4 S4 O4'
_space_group_name_H-M_alt 'P 1 21 1'
_space_group_IT_number 4
_cell_length_a 5.4431
_cell_length_b 5.4418
_cell_length_c 10.2583
_cell_angle_alpha 90.00
_cell_angle_beta 105.18
_cell_angle_gamma 90.00
loop_
_space_group_symop_operation_xyz
'x,y,z'
'-x,y+1/2,-z'
loop_
_atom_site_label
_atom_site_type_symbol
_atom_site_fract_x
_atom_site_fract_y
_atom_site_fract_z
Na1 Na 0.0428 0.0000 0.0982
Na2 Na 0.4441 0.9902 0.9027
Lu1 Lu 0.0506 0.2288 0.6053
Lu2 Lu 0.4495 0.2290 0.3948
S1 S 0.1013 0.4925 0.1890
S2 S 0.4042 0.4881 0.8109
O1 O 0.2498 0.4785 0.5000
O2 O 0.2499 0.9784 0.5000
```

Largest 10 diffraction maxima, by angle, 2θ from 10° to 80°:
2θ (°)	Rel. int.
23.55	215
26.82	1000
32.44	873
34.17	583
39.49	152
39.59	162
47.24	301
55.14	204
58.42	158
58.53	170


For NaLuZnSe3, DFT lattice parameters and positions (PBE) gives the theoretical PXRD pattern in this record (a wavelength of 1.5418 Å).

```
data_NaLuZnSe3
_chemical_formula_sum 'Na4 Lu4 Zn4 Se12'
_space_group_name_H-M_alt 'P n m a'
_space_group_IT_number 62
_cell_length_a 10.7893
_cell_length_b 4.0074
_cell_length_c 13.5958
_cell_angle_alpha 90.00
_cell_angle_beta 90.00
_cell_angle_gamma 90.00
loop_
_space_group_symop_operation_xyz
'x,y,z'
'-x,-y,-z'
'-x+1/2,-y,z+1/2'
'x+1/2,y,-z+1/2'
'x+1/2,-y+1/2,-z+1/2'
'-x+1/2,y+1/2,z+1/2'
'-x,y+1/2,-z'
'x,-y+1/2,z'
loop_
_atom_site_label
_atom_site_type_symbol
_atom_site_fract_x
_atom_site_fract_y
_atom_site_fract_z
Na1 Na 0.2220 0.2500 0.0044
Lu1 Lu 0.0115 0.7500 0.7432
Zn1 Zn 0.2399 0.7500 0.2171
Se1 Se 0.0499 0.7500 0.1194
Se2 Se 0.0794 0.2500 0.6099
Se3 Se 0.2404 0.2500 0.3298
```

Largest 10 diffraction maxima, by angle, 2θ from 10° to 80°:
2θ (°)	Rel. int.
13.02	1000
28.07	203
29.76	321
30.92	298
33.21	204
34.18	745
35.82	209
43.31	147
43.58	362
45.25	246